# 1
Computed PXRD pattern of NdTc3 for Cu Kα, 1.54184 Å, from a crystal structure in the Materials Project, relaxed with PBE.

Structure:
a = 6.7356 Å, b = 6.7356 Å, c = 4.1791 Å
α = 90.00°, β = 90.00°, γ = 120.00°
Element x y z (fractional)
Nd: 0.3333 0.6667 0.2500
Nd: 0.6667 0.3333 0.7500
Tc: 0.1309 0.2618 0.7500
Tc: 0.1309 0.8691 0.7500
Tc: 0.2618 0.1309 0.2500
Tc: 0.7382 0.8691 0.7500
Tc: 0.8691 0.1309 0.2500
Tc: 0.8691 0.7382 0.2500

Top 10 peaks for 2θ from 10° to 80°, by intensity:
| 2θ (°) | I_rel | (hkl) |
| --- | --- | --- |
| 37.61 | 1000 | 2 0 1 |
| 30.65 | 262 | 2 0 0 |
| 43.30 | 191 | 0 0 2 |
| 40.93 | 174 | 2 1 0 |
| 51.86 | 168 | 3 0 1 |
| 61.46 | 151 | 3 1 1 |
| 15.19 | 146 | 1 0 0 |
| 26.23 | 134 | 1 0 1 |
| 75.66 | 125 | 2 0 3 |
| 54.49 | 122 | 2 2 0 |

# 2
Computed PXRD pattern of AsPb2S3I for Cu Kα, 1.54184 Å, from a crystal structure in the Materials Project, relaxed with PBE.

Structure:
a = 11.9229 Å, b = 6.8461 Å, c = 9.7165 Å
α = 90.00°, β = 90.00°, γ = 90.00°
Element x y z (fractional)
As: 0.0804 0.2500 0.0348
As: 0.4196 0.7500 0.5348
As: 0.5804 0.2500 0.4652
As: 0.9196 0.7500 0.9652
Pb: 0.1253 0.7500 0.2937
Pb: 0.1782 0.7500 0.7773
Pb: 0.3218 0.2500 0.2773
Pb: 0.3747 0.2500 0.7937
Pb: 0.6253 0.7500 0.2063
Pb: 0.6782 0.7500 0.7227
Pb: 0.8218 0.2500 0.2227
Pb: 0.8747 0.2500 0.7063
S: 0.0976 0.2500 0.8033
S: 0.2049 0.0048 0.0814
S: 0.2049 0.4952 0.0814
S: 0.2951 0.5048 0.5814
S: 0.2951 0.9952 0.5814
S: 0.4024 0.7500 0.3033
S: 0.5976 0.2500 0.6967
S: 0.7049 0.0048 0.4186
S: 0.7049 0.4952 0.4186
S: 0.7951 0.5048 0.9186
S: 0.7951 0.9952 0.9186
S: 0.9024 0.7500 0.1967
I: 0.0466 0.2500 0.4011
I: 0.4534 0.7500 0.9011
I: 0.5466 0.2500 0.0989
I: 0.9534 0.7500 0.5989

Top 10 peaks for 2θ from 10° to 80°, by intensity:
| 2θ (°) | I_rel | (hkl) |
| --- | --- | --- |
| 27.02 | 1000 | 2 1 2 |
| 26.03 | 627 | 0 2 0 |
| 31.94 | 429 | 0 2 2 |
| 34.10 | 361 | 2 1 3 |
| 32.77 | 344 | 4 1 0 |
| 19.74 | 343 | 2 1 0 |
| 46.52 | 312 | 2 3 2 |
| 18.26 | 252 | 0 0 2 |
| 54.19 | 245 | 6 0 3 |
| 32.88 | 206 | 1 2 2 |

# 3
Computed PXRD pattern of CaCd2As2 for Cu Kα, 1.54184 Å, from a crystal structure in the Materials Project, relaxed with PBE.

Structure:
a = 4.4570 Å, b = 4.4570 Å, c = 7.2404 Å
α = 90.00°, β = 90.00°, γ = 120.00°
Element x y z (fractional)
Ca: 0.0000 0.0000 0.0000
Cd: 0.3333 0.6667 0.3660
Cd: 0.6667 0.3333 0.6340
As: 0.3333 0.6667 0.7647
As: 0.6667 0.3333 0.2353

Top 10 peaks for 2θ from 10° to 80°, by intensity:
| 2θ (°) | I_rel | (hkl) |
| --- | --- | --- |
| 33.95 | 1000 | 1 0 2 |
| 40.48 | 831 | 1 1 0 |
| 23.04 | 451 | 1 0 0 |
| 44.26 | 426 | 1 0 3 |
| 26.16 | 382 | 0 1 1 |
| 53.83 | 256 | 0 2 2 |
| 12.22 | 247 | 0 0 1 |
| 69.46 | 231 | 2 1 2 |
| 56.16 | 166 | 1 1 3 |
| 76.26 | 164 | 2 1 3 |

# 4
Computed PXRD pattern of Sr8La3Ru3O21 for Cu Kα, 1.54184 Å, from a crystal structure in the Materials Project, relaxed with PBE.

Structure:
a = 5.7722 Å, b = 6.9564 Å, c = 14.8635 Å
α = 98.70°, β = 90.18°, γ = 114.40°
Element x y z (fractional)
Sr: 0.0000 0.0000 0.0000
Sr: 0.0183 0.0348 0.7580
Sr: 0.3035 0.5536 0.9417
Sr: 0.3583 0.7113 0.4211
Sr: 0.4247 0.8230 0.1606
Sr: 0.6703 0.3417 0.3409
Sr: 0.7419 0.4562 0.7950
Sr: 0.9729 0.8970 0.2803
La: 0.0866 0.1800 0.5300
La: 0.3603 0.7105 0.6679
La: 0.6858 0.3595 0.0861
Ru: 0.1719 0.3497 0.2105
Ru: 0.5030 0.0082 0.8750
Ru: 0.8326 0.6723 0.5424
O: 0.0204 0.5550 0.2312
O: 0.1440 0.3006 0.3354
O: 0.1565 0.3491 0.6792
O: 0.1575 0.7783 0.8414
O: 0.1842 0.4108 0.0829
O: 0.1856 0.8963 0.5748
O: 0.2970 0.1332 0.1687
O: 0.3700 0.2277 0.9001
O: 0.4197 0.9699 0.3267
O: 0.4712 0.9607 0.0038
O: 0.4848 0.4644 0.5102
O: 0.5236 0.5623 0.2389
O: 0.5278 0.0631 0.7497
O: 0.6273 0.7831 0.8391
O: 0.7064 0.9010 0.5747
O: 0.7520 0.6507 0.0343
O: 0.8155 0.6448 0.6676
O: 0.8301 0.1247 0.1768
O: 0.8548 0.2325 0.9045
O: 0.8623 0.7567 0.4215
O: 0.9670 0.4631 0.5045

Top 10 peaks for 2θ from 10° to 80°, by intensity:
| 2θ (°) | I_rel | (hkl) |
| --- | --- | --- |
| 30.06 | 1000 | 1 -2 3 |
| 30.99 | 978 | 2 -1 0 |
| 30.71 | 915 | -1 1 4 |
| 30.78 | 815 | 1 0 4 |
| 43.85 | 755 | -2 3 1 |
| 30.25 | 569 | 0 2 1 |
| 43.12 | 431 | 2 -3 2 |
| 43.23 | 379 | 0 1 -7 |
| 14.46 | 369 | 0 1 -1 |
| 26.39 | 249 | 1 1 0 |